[1]
Diffraction record for SrSn2H10Br6O5. The powder diffraction line list is computed, not measured: it uses the PBE geometry in Alexandria and Cu Kα (λ = 1.5418 Å).
Kinematic intensities with the Lorentz-polarization factor, no thermal factor.

Structural model:
a = 10.0059 Å, b = 10.0059 Å, c = 9.5046 Å
α = 105.83°, β = 105.83°, γ = 78.89°
Fractional coordinates of all 48 atoms:
Sr (0.0141, 0.9859, 0.7500)
Sr (0.9859, 0.0141, 0.2500)
Sn (0.2602, 0.4872, 0.0446)
Sn (0.4872, 0.2602, 0.5446)
Sn (0.5128, 0.7398, 0.4554)
Sn (0.7398, 0.5128, 0.9554)
H (0.0424, 0.2324, 0.5876)
H (0.0457, 0.3017, 0.2248)
H (0.1153, 0.7824, 0.4584)
H (0.1938, 0.2360, 0.2939)
H (0.2104, 0.6822, 0.7246)
H (0.2176, 0.8847, 0.0416)
H (0.2324, 0.0424, 0.0876)
H (0.2360, 0.1938, 0.7939)
H (0.3017, 0.0457, 0.7248)
H (0.3178, 0.7896, 0.7754)
H (0.6822, 0.2104, 0.2246)
H (0.6983, 0.9543, 0.2752)
H (0.7640, 0.8062, 0.2061)
H (0.7676, 0.9576, 0.9124)
H (0.7824, 0.1153, 0.9584)
H (0.7896, 0.3178, 0.2754)
H (0.8062, 0.7640, 0.7061)
H (0.8847, 0.2176, 0.5416)
H (0.9543, 0.6983, 0.7752)
H (0.9576, 0.7676, 0.4124)
Br (0.0240, 0.6907, 0.0451)
Br (0.1920, 0.4318, 0.7264)
Br (0.3021, 0.5805, 0.4141)
Br (0.3093, 0.9760, 0.4549)
Br (0.4195, 0.6979, 0.0859)
Br (0.4318, 0.1920, 0.2264)
Br (0.5682, 0.8080, 0.7736)
Br (0.5805, 0.3021, 0.9141)
Br (0.6907, 0.0240, 0.5451)
Br (0.6979, 0.4195, 0.5859)
Br (0.8080, 0.5682, 0.2736)
Br (0.9760, 0.3093, 0.9549)
O (0.0223, 0.8390, 0.4506)
O (0.0948, 0.2420, 0.2947)
O (0.1610, 0.9777, 0.0494)
O (0.2170, 0.7830, 0.7500)
O (0.2420, 0.0948, 0.7947)
O (0.7580, 0.9052, 0.2053)
O (0.7830, 0.2170, 0.2500)
O (0.8390, 0.0223, 0.9506)
O (0.9052, 0.7580, 0.7053)
O (0.9777, 0.1610, 0.5494)

Most intense lines, 2θ = 5–70°, by angle:
2θ/deg, Rel. int.
11.91, 92
18.93, 49
28.07, 62
29.39, 100
29.76, 96
37.19, 44



[2]
Diffraction record for Al7Ag. The powder diffraction line list is computed, not measured: it uses the PBE geometry in Alexandria and Cu Kα (λ = 1.5418 Å).
Kinematic intensities with the Lorentz-polarization factor, no thermal factor.

Structural model:
a = 4.9352 Å, b = 2.8918 Å, c = 9.4892 Å
α = 90.00°, β = 100.46°, γ = 90.00°
Fractional coordinates of all 8 atoms:
Al (0.0000, 0.0000, 0.0000)
Al (0.0000, 0.5000, 0.5000)
Al (0.2469, 0.0000, 0.7485)
Al (0.2483, 0.5000, 0.2520)
Al (0.5000, 0.0000, 0.5000)
Al (0.7517, 0.5000, 0.7480)
Al (0.7531, 0.0000, 0.2515)
Ag (0.5000, 0.5000, 0.0000)

Most intense lines, 2θ = 5–70°, by angle:
2θ/deg, Rel. int.
9.48, 100
19.02, 47
38.35, 100
38.59, 98
44.51, 64
65.26, 41



[3]
Diffraction record for UNi6Rh. The powder diffraction line list is computed, not measured: it uses the PBE geometry in Alexandria and Cu Kα (λ = 1.5418 Å).
Kinematic intensities with the Lorentz-polarization factor, no thermal factor.

Structural model:
a = 6.6995 Å, b = 6.3379 Å, c = 4.2799 Å
α = 75.48°, β = 66.32°, γ = 38.20°
Fractional coordinates of all 8 atoms:
U (0.0000, 0.0000, 0.0000)
Ni (0.1413, 0.1413, 0.3587)
Ni (0.2546, 0.2546, 0.7454)
Ni (0.3587, 0.3587, 0.1413)
Ni (0.6413, 0.6413, 0.8587)
Ni (0.7454, 0.7454, 0.2546)
Ni (0.8587, 0.8587, 0.6413)
Rh (0.5000, 0.5000, 0.5000)

Most intense lines, 2θ = 5–70°, by angle:
2θ/deg, Rel. int.
15.34, 24
22.84, 24
30.55, 29
41.04, 100
43.78, 88
46.94, 67



[4]
Diffraction record for Na5B7C3. The powder diffraction line list is computed, not measured: it uses the PBE geometry in Alexandria and Cu Kα (λ = 1.5418 Å).
Kinematic intensities with the Lorentz-polarization factor, no thermal factor.

Structural model:
a = 5.1035 Å, b = 7.5835 Å, c = 9.0541 Å
α = 93.17°, β = 106.33°, γ = 109.66°
Fractional coordinates of all 30 atoms:
Na (0.0000, 0.0000, 0.0000)
Na (0.0907, 0.6982, 0.4896)
Na (0.1968, 0.3997, 0.9970)
Na (0.2926, 0.0988, 0.4921)
Na (0.3970, 0.8003, 0.9993)
Na (0.4940, 0.4992, 0.4917)
Na (0.5963, 0.2017, 0.9967)
Na (0.6924, 0.8985, 0.4870)
Na (0.7973, 0.6005, 0.9978)
Na (0.8957, 0.3002, 0.4939)
B (0.0056, 0.4383, 0.2445)
B (0.1675, 0.9496, 0.7446)
B (0.2167, 0.8605, 0.2444)
B (0.2777, 0.6493, 0.2445)
B (0.3074, 0.5572, 0.7446)
B (0.3686, 0.3411, 0.7443)
B (0.4150, 0.2505, 0.2444)
B (0.4977, 0.9495, 0.7452)
B (0.6160, 0.7583, 0.7448)
B (0.6319, 0.6493, 0.2447)
B (0.6999, 0.3426, 0.7440)
B (0.8064, 0.1410, 0.7445)
B (0.8145, 0.0492, 0.2445)
B (0.9775, 0.5589, 0.7445)
C (0.0719, 0.2442, 0.2445)
C (0.1098, 0.1452, 0.7444)
C (0.4770, 0.0551, 0.2440)
C (0.6781, 0.4471, 0.2445)
C (0.8809, 0.8521, 0.2450)
C (0.9146, 0.7544, 0.7447)

Most intense lines, 2θ = 5–70°, by angle:
2θ/deg, Rel. int.
35.17, 10
36.03, 18
41.18, 51
41.93, 100
42.19, 38
63.67, 18



[5]
Diffraction record for Cs2SbHCl6. The powder diffraction line list is computed, not measured: it uses the PBE geometry in Alexandria and Cu Kα (λ = 1.5418 Å).
Kinematic intensities with the Lorentz-polarization factor, no thermal factor.

Structural model:
a = 8.0113 Å, b = 8.0113 Å, c = 7.3246 Å
α = 116.66°, β = 116.66°, γ = 98.15°
Fractional coordinates of all 10 atoms:
Cs (0.2412, 0.7588, 0.0000)
Cs (0.7588, 0.2412, 0.0000)
Sb (0.4944, 0.4944, 0.4914)
H (0.7797, 0.7797, 0.2280)
Cl (0.2275, 0.2275, 0.0304)
Cl (0.2756, 0.7140, 0.4947)
Cl (0.3222, 0.3222, 0.6022)
Cl (0.7140, 0.2756, 0.4947)
Cl (0.7512, 0.7512, 0.3921)
Cl (0.8099, 0.8099, 0.0211)

Most intense lines, 2θ = 5–70°, by angle:
2θ/deg, Rel. int.
14.13, 59
22.21, 92
22.43, 100
27.59, 76
28.49, 54
29.51, 86



[6]
Diffraction record for Cs2Cu2RhS4. The powder diffraction line list is computed, not measured: it uses the PBE geometry in Alexandria and Cu Kα (λ = 1.5418 Å).
Kinematic intensities with the Lorentz-polarization factor, no thermal factor.

Structural model:
a = 7.4515 Å, b = 7.4515 Å, c = 7.7265 Å
α = 107.36°, β = 107.36°, γ = 30.14°
Fractional coordinates of all 9 atoms:
Cs (0.1339, 0.1339, 0.0597)
Cs (0.8661, 0.8661, 0.9403)
Cu (0.3085, 0.3085, 0.5071)
Cu (0.6915, 0.6915, 0.4929)
Rh (0.0000, 0.0000, 0.5000)
S (0.1766, 0.1766, 0.6421)
S (0.4765, 0.4765, 0.6826)
S (0.5235, 0.5235, 0.3174)
S (0.8234, 0.8234, 0.3579)

Most intense lines, 2θ = 5–70°, by angle:
2θ/deg, Rel. int.
24.22, 75
25.09, 46
30.27, 69
32.09, 47
32.75, 91
34.94, 100



[7]
Diffraction record for Sc3Ge. The powder diffraction line list is computed, not measured: it uses the PBE geometry in Alexandria and Cu Kα (λ = 1.5418 Å).
Kinematic intensities with the Lorentz-polarization factor, no thermal factor.

Structural model:
a = 11.1423 Å, b = 11.1423 Å, c = 5.6482 Å
α = 90.00°, β = 90.00°, γ = 90.00°
Fractional coordinates of all 32 atoms:
Sc (0.0349, 0.5827, 0.2259)
Sc (0.0827, 0.9651, 0.7259)
Sc (0.1085, 0.2107, 0.0343)
Sc (0.1365, 0.6654, 0.7113)
Sc (0.1654, 0.8635, 0.2113)
Sc (0.2107, 0.3915, 0.4657)
Sc (0.2893, 0.1085, 0.4657)
Sc (0.3346, 0.6365, 0.2113)
Sc (0.3635, 0.8346, 0.7113)
Sc (0.3915, 0.2893, 0.0343)
Sc (0.4173, 0.5349, 0.7259)
Sc (0.4651, 0.9173, 0.2259)
Sc (0.5349, 0.0827, 0.7741)
Sc (0.5827, 0.4651, 0.2741)
Sc (0.6085, 0.7107, 0.9657)
Sc (0.6365, 0.1654, 0.2887)
Sc (0.6654, 0.3635, 0.7887)
Sc (0.7107, 0.8915, 0.5343)
Sc (0.7893, 0.6085, 0.5343)
Sc (0.8346, 0.1365, 0.7887)
Sc (0.8635, 0.3346, 0.2887)
Sc (0.8915, 0.7893, 0.9657)
Sc (0.9173, 0.0349, 0.2741)
Sc (0.9651, 0.4173, 0.7741)
Ge (0.0485, 0.2019, 0.5389)
Ge (0.2019, 0.4515, 0.9611)
Ge (0.2981, 0.0485, 0.9611)
Ge (0.4515, 0.2981, 0.5389)
Ge (0.5485, 0.7019, 0.4611)
Ge (0.7019, 0.9515, 0.0389)
Ge (0.7981, 0.5485, 0.0389)
Ge (0.9515, 0.7981, 0.4611)

Most intense lines, 2θ = 5–70°, by angle:
2θ/deg, Rel. int.
33.04, 74
33.71, 85
36.05, 99
36.87, 90
40.95, 100
41.32, 73



[8]
Diffraction record for AcPuAg2O8. The powder diffraction line list is computed, not measured: it uses the PBE geometry in Alexandria and Cu Kα (λ = 1.5418 Å).
Kinematic intensities with the Lorentz-polarization factor, no thermal factor.

Structural model:
a = 6.2907 Å, b = 6.2907 Å, c = 6.2907 Å
α = 111.13°, β = 111.13°, γ = 106.19°
Fractional coordinates of all 12 atoms:
Ac (0.0000, 0.0000, 0.0000)
Pu (0.7500, 0.2500, 0.5000)
Ag (0.2500, 0.7500, 0.5000)
Ag (0.5000, 0.5000, 0.0000)
O (0.0283, 0.3658, 0.3375)
O (0.0283, 0.6909, 0.6625)
O (0.0594, 0.2862, 0.7732)
O (0.3091, 0.9717, 0.3375)
O (0.5130, 0.2862, 0.2268)
O (0.6342, 0.9717, 0.6625)
O (0.7138, 0.4870, 0.7732)
O (0.7138, 0.9406, 0.2268)

Most intense lines, 2θ = 5–70°, by angle:
2θ/deg, Rel. int.
17.12, 29
25.03, 92
29.57, 100
35.70, 26
47.01, 68
55.05, 21



[9]
Diffraction record for NpBeAuO6. The powder diffraction line list is computed, not measured: it uses the PBE geometry in Alexandria and Cu Kα (λ = 1.5418 Å).
Kinematic intensities with the Lorentz-polarization factor, no thermal factor.

Structural model:
a = 4.5956 Å, b = 5.0136 Å, c = 5.5958 Å
α = 102.17°, β = 107.12°, γ = 95.12°
Fractional coordinates of all 9 atoms:
Np (0.0000, 0.0000, 0.0000)
Be (0.3083, 0.0239, 0.5456)
Au (0.6723, 0.5506, 0.3619)
O (0.1786, 0.7003, 0.9197)
O (0.1929, 0.1612, 0.7830)
O (0.3820, 0.2216, 0.3607)
O (0.5752, 0.8288, 0.6355)
O (0.7829, 0.2992, 0.0781)
O (0.9591, 0.8529, 0.3209)

Most intense lines, 2θ = 5–70°, by angle:
2θ/deg, Rel. int.
17.12, 34
21.80, 77
22.11, 32
25.27, 73
28.23, 100
30.87, 59



[10]
Diffraction record for Ti6Ga5Sn. The powder diffraction line list is computed, not measured: it uses the PBE geometry in Alexandria and Cu Kα (λ = 1.5418 Å).
Kinematic intensities with the Lorentz-polarization factor, no thermal factor.

Structural model:
a = 5.6676 Å, b = 5.6676 Å, c = 6.8906 Å
α = 95.28°, β = 95.28°, γ = 102.29°
Fractional coordinates of all 12 atoms:
Ti (0.0704, 0.4150, 0.7421)
Ti (0.2420, 0.2420, 0.2568)
Ti (0.4150, 0.0704, 0.7421)
Ti (0.5850, 0.9296, 0.2579)
Ti (0.7580, 0.7580, 0.7432)
Ti (0.9296, 0.5850, 0.2579)
Ga (0.0000, 0.0000, 0.5000)
Ga (0.1624, 0.8376, 0.0000)
Ga (0.3392, 0.6608, 0.5000)
Ga (0.6608, 0.3392, 0.5000)
Ga (0.8376, 0.1624, 0.0000)
Sn (0.5000, 0.5000, 0.0000)

Most intense lines, 2θ = 5–70°, by angle:
2θ/deg, Rel. int.
33.84, 61
36.31, 100
39.42, 39
50.00, 38
50.93, 36
52.00, 17



[11]
Diffraction record for Ce3Al4Ge2. The powder diffraction line list is computed, not measured: it uses the PBE geometry in Alexandria and Cu Kα (λ = 1.5418 Å).
Kinematic intensities with the Lorentz-polarization factor, no thermal factor.

Structural model:
a = 5.9995 Å, b = 5.9995 Å, c = 8.5731 Å
α = 102.14°, β = 102.14°, γ = 42.21°
Fractional coordinates of all 9 atoms:
Ce (0.0000, 0.0000, 0.0000)
Ce (0.3310, 0.3310, 0.3369)
Ce (0.6690, 0.6690, 0.6631)
Al (0.0475, 0.0475, 0.3810)
Al (0.2713, 0.2713, 0.9376)
Al (0.7287, 0.7287, 0.0624)
Al (0.9525, 0.9525, 0.6190)
Ge (0.3883, 0.3883, 0.7215)
Ge (0.6117, 0.6117, 0.2785)

Most intense lines, 2θ = 5–70°, by angle:
2θ/deg, Rel. int.
23.76, 29
32.17, 100
41.78, 37
43.54, 11
53.69, 23
61.92, 22



Q: Number 6 is which compound?
A: Cs2Cu2RhS4